Record 1
Simulated X-ray powder pattern
Compound: NiRh5
Radiation: Cu Kα X-rays
Structure: a crystal structure in Alexandria, relaxed with PBE
No peak broadening, texture or thermal motion is included.

Structural model:
a b c (Å): 2.7029 2.7029 13.0779
angles (deg): 90.00 90.00 120.00
Space group P-3m1 (No. 164)
One atom of each set of equivalent atoms:
Ni  0.0000  0.0000  0.0000 [1 per cell]
Rh  0.0000  0.0000  0.5000 [1 per cell]
Rh  0.3333  0.6667  0.1586 [2 per cell]
Rh  0.3333  0.6667  0.6705 [2 per cell]

Main lines, in order of rising 2θ (5° ≤ 2θ ≤ 70°):
2θ/deg  Rel. int.  hkl
6.8  5  0 0 1
13.5  1  0 0 2
34.3  2  0 0 5
39.1  1  0 1 1
41.0  100  0 1 2
41.4  31  0 0 6
43.9  2  1 0 3
47.8  62  1 0 4
63.7  2  0 1 7
69.6  20  1 1 0

Record 2
Simulated X-ray powder pattern
Compound: DyC4
Radiation: Cu Kα X-rays
Structure: a crystal structure in Alexandria, relaxed with PBE
No peak broadening, texture or thermal motion is included.

Structural model:
a b c (Å): 4.503 4.503 4.503
angles (deg): 90.00 90.00 90.00
Space group Pm-3m (No. 221)
One atom of each set of equivalent atoms:
Dy  0.000  0.000  0.000 [1 per cell]
C  0.000  0.000  0.500 [3 per cell]
C  0.500  0.500  0.500 [1 per cell]

Main lines, in order of rising 2θ (5° ≤ 2θ ≤ 70°):
2θ/deg  Rel. int.  hkl
19.7  100  1 0 0
28.0  85  1 1 0
34.5  18  1 1 1
40.0  26  2 0 0
45.0  47  2 1 0
49.6  36  2 1 1
57.9  16  2 2 0
61.8  23  3 0 0
65.5  15  3 1 0
69.2  9  3 1 1

Record 3
Simulated X-ray powder pattern
Compound: La12NdTh7
Radiation: Cu Kα X-rays
Structure: a crystal structure in Alexandria, relaxed with PBE
No peak broadening, texture or thermal motion is included.

Structural model:
a b c (Å): 11.750 11.750 11.750
angles (deg): 90.00 90.00 90.00
Space group Im-3 (No. 204)
One atom of each set of equivalent atoms:
La  0.000  0.311  0.222 [24 per cell]
Nd  0.000  0.000  0.000 [2 per cell]
Th  0.000  0.000  0.500 [6 per cell]
Th  0.250  0.250  0.250 [8 per cell]

Main lines, in order of rising 2θ (5° ≤ 2θ ≤ 70°):
2θ/deg  Rel. int.  hkl
21.4  87  2 2 0
23.9  30  3 0 1
26.3  29  2 2 2
28.4  28  3 2 1
30.4  100  4 0 0
37.5  97  4 2 2
43.6  49  4 4 0
49.0  27  6 0 2
58.8  51  6 4 2
67.7  44  8 2 2

Record 4
Simulated X-ray powder pattern
Compound: Pm3Dy4Tl
Radiation: Cu Kα X-rays
Structure: a crystal structure in Alexandria, relaxed with PBE
No peak broadening, texture or thermal motion is included.

Structural model:
a b c (Å): 11.457 6.195 7.065
angles (deg): 90.00 90.00 90.00
Space group Pmn2_1 (No. 31)
One atom of each set of equivalent atoms:
Pm  0.000  0.153  0.000 [2 per cell]
Pm  0.247  0.503  0.002 [4 per cell]
Dy  0.000  0.165  0.503 [2 per cell]
Dy  0.000  0.678  0.258 [2 per cell]
Dy  0.248  0.987  0.752 [4 per cell]
Tl  0.000  0.663  0.745 [2 per cell]

Main lines, in order of rising 2θ (5° ≤ 2θ ≤ 70°):
2θ/deg  Rel. int.  hkl
29.9  24  1 2 0
30.1  46  1 1 2
31.2  53  4 0 0
32.9  49  2 2 0
33.1  100  2 1 2
37.6  26  3 1 2
51.2  26  0 3 2
56.8  21  6 1 2
61.2  30  4 3 2
62.7  15  2 2 4

Record 5
Simulated X-ray powder pattern
Compound: La6Co3Cl
Radiation: Cu Kα X-rays
Structure: a crystal structure in Alexandria, relaxed with PBE
No peak broadening, texture or thermal motion is included.

Structural model:
a b c (Å): 4.077 11.869 12.598
angles (deg): 110.38 94.91 92.71
Space group P-1 (No. 2)
One atom of each set of equivalent atoms:
La  0.195  0.272  0.237 [2 per cell]
La  0.242  0.760  0.200 [2 per cell]
La  0.247  0.581  0.428 [2 per cell]
La  0.271  0.096  0.951 [2 per cell]
La  0.280  0.545  0.894 [2 per cell]
La  0.295  0.929  0.645 [2 per cell]
Co  0.239  0.329  0.959 [2 per cell]
Co  0.242  0.009  0.205 [2 per cell]
Co  0.284  0.584  0.660 [2 per cell]
Cl  0.295  0.154  0.568 [2 per cell]

Main lines, in order of rising 2θ (5° ≤ 2θ ≤ 70°):
2θ/deg  Rel. int.  hkl
25.7  55  0 2 2
27.2  36  1 2 -1
28.6  46  1 -2 2
28.9  47  0 2 -4
30.0  49  1 0 -3
30.4  100  0 4 -2
35.8  48  1 0 -4
39.9  48  1 0 4
44.8  57  2 0 0
53.0  35  1 -4 6

Record 6
Simulated X-ray powder pattern
Compound: LiNd4Hg2
Radiation: Cu Kα X-rays
Structure: a crystal structure in Alexandria, relaxed with PBE
No peak broadening, texture or thermal motion is included.

Structural model:
a b c (Å): 5.3453 5.3453 25.5065
angles (deg): 90.00 90.00 120.00
Space group R-3m (No. 166, hexagonal axes)
One atom of each set of equivalent atoms:
Li  0.0000  0.0000  0.0000 [3 per cell]
Nd  0.0000  0.0000  0.1322 [6 per cell]
Nd  0.0000  0.0000  0.3851 [6 per cell]
Hg  0.0000  0.0000  0.2590 [6 per cell]

Main lines, in order of rising 2θ (5° ≤ 2θ ≤ 70°):
2θ/deg  Rel. int.  hkl
20.4  51  0 1 2
20.9  18  0 0 6
31.2  13  1 0 7
33.5  100  1 1 0
34.1  78  0 1 8
39.8  21  1 1 6
48.6  29  2 0 8
59.9  19  3 0 0
60.3  30  1 2 8
65.0  13  1 1 15

Record 7
Simulated X-ray powder pattern
Compound: Pr5GaIr2
Radiation: Cu Kα X-rays
Structure: a crystal structure in Alexandria, relaxed with PBE
No peak broadening, texture or thermal motion is included.

Structural model:
a b c (Å): 8.020 8.020 13.756
angles (deg): 90.00 90.00 90.00
Space group I4/mcm (No. 140)
One atom of each set of equivalent atoms:
Pr  0.000  0.000  0.000 [4 per cell]
Pr  0.164  0.336  0.137 [16 per cell]
Ga  0.000  0.000  0.250 [4 per cell]
Ir  0.134  0.366  0.500 [8 per cell]

Main lines, in order of rising 2θ (5° ≤ 2θ ≤ 70°):
2θ/deg  Rel. int.  hkl
12.9  31  0 0 2
31.7  100  2 1 3
34.4  18  2 0 4
35.4  45  3 1 0
41.4  24  2 1 5
45.3  10  4 0 0
51.0  16  4 1 3
53.9  9  3 1 6
65.6  13  3 1 8
65.9  19  4 4 0

Record 8
Simulated X-ray powder pattern
Compound: TlHg3H6
Radiation: Cu Kα X-rays
Structure: a crystal structure in Alexandria, relaxed with PBE
No peak broadening, texture or thermal motion is included.

Structural model:
a b c (Å): 12.9305 12.9305 6.9355
angles (deg): 90.00 90.00 120.00
Space group R-3c (No. 167, hexagonal axes)
One atom of each set of equivalent atoms:
Tl  0.0000  0.0000  0.0000 [6 per cell]
Hg  0.0000  0.4379  0.2500 [18 per cell]
H  0.0510  0.2253  0.4143 [36 per cell]

Main lines, in order of rising 2θ (5° ≤ 2θ ≤ 70°):
2θ/deg  Rel. int.  hkl
23.8  27  3 0 0
24.6  52  2 1 1
26.9  48  0 1 2
27.6  76  2 2 0
31.6  100  1 3 1
33.4  40  1 2 2
38.9  57  3 1 2
47.0  25  5 1 1
50.9  45  5 2 0
55.5  25  0 2 4

Record 9
Simulated X-ray powder pattern
Compound: U2AuSe2N2
Radiation: Cu Kα X-rays
Structure: a crystal structure in Alexandria, relaxed with PBE
No peak broadening, texture or thermal motion is included.

Structural model:
a b c (Å): 3.7392 3.7392 12.3653
angles (deg): 90.00 90.00 120.00
Space group P-3m1 (No. 164)
One atom of each set of equivalent atoms:
U  0.3333  0.6667  0.2973 [2 per cell]
Au  0.0000  0.0000  0.5000 [1 per cell]
Se  0.0000  0.0000  0.1494 [2 per cell]
N  0.3333  0.6667  0.6731 [2 per cell]

Main lines, in order of rising 2θ (5° ≤ 2θ ≤ 70°):
2θ/deg  Rel. int.  hkl
7.1  100  0 0 1
14.3  23  0 0 2
28.5  58  1 0 1
31.2  59  1 0 2
35.2  95  0 1 3
40.3  22  1 0 4
48.7  38  1 1 0
52.6  19  1 0 6
61.5  19  2 0 3
62.3  24  1 1 5

Record 10
Simulated X-ray powder pattern
Compound: NdNp4S7
Radiation: Cu Kα X-rays
Structure: a crystal structure in Alexandria, relaxed with PBE
No peak broadening, texture or thermal motion is included.

Structural model:
a b c (Å): 13.047 3.886 11.522
angles (deg): 90.00 104.73 90.00
Space group Cm (No. 8)
One atom of each set of equivalent atoms:
Nd  0.000  0.000  0.000 [2 per cell]
Np  0.119  0.000  0.425 [2 per cell]
Np  0.232  0.000  0.841 [2 per cell]
Np  0.319  0.500  0.244 [2 per cell]
Np  0.418  0.000  0.608 [2 per cell]
S  0.072  0.000  0.638 [2 per cell]
S  0.118  0.500  0.915 [2 per cell]
S  0.163  0.000  0.211 [2 per cell]
S  0.274  0.500  0.475 [2 per cell]
S  0.349  0.500  0.766 [2 per cell]
S  0.371  0.000  0.074 [2 per cell]
S  0.464  0.000  0.373 [2 per cell]

Main lines, in order of rising 2θ (5° ≤ 2θ ≤ 70°):
2θ/deg  Rel. int.  hkl
23.8  100  2 0 2
24.0  31  1 1 0
24.5  89  2 0 -3
25.8  39  1 1 1
27.4  52  4 0 -1
27.9  34  1 1 -2
31.0  36  3 1 -1
32.7  47  3 1 -2
33.7  51  3 1 1
42.0  36  1 1 4

Record 11
Simulated X-ray powder pattern
Compound: Sr2SO4
Radiation: Cu Kα X-rays
Structure: a crystal structure in Alexandria, relaxed with PBE
No peak broadening, texture or thermal motion is included.

Structural model:
a b c (Å): 5.712 5.712 6.808
angles (deg): 90.00 90.00 90.00
Space group I4/mmm (No. 139)
One atom of each set of equivalent atoms:
Sr  0.000  0.500  0.250 [4 per cell]
S  0.000  0.000  0.000 [2 per cell]
O  0.218  0.218  0.000 [8 per cell]

Main lines, in order of rising 2θ (5° ≤ 2θ ≤ 70°):
2θ/deg  Rel. int.  hkl
20.3  22  1 0 1
22.0  67  1 1 0
31.3  31  2 0 0
34.5  100  1 1 2
41.3  55  2 0 2
44.9  35  2 2 0
50.5  17  3 1 0
53.9  11  0 0 4
57.8  40  3 1 2
65.4  10  4 0 0

Record 12
Simulated X-ray powder pattern
Compound: La3TaCl6O4
Radiation: Cu Kα X-rays
Structure: a crystal structure in Alexandria, relaxed with PBE
No peak broadening, texture or thermal motion is included.

Structural model:
a b c (Å): 13.0382 13.0382 4.0069
angles (deg): 90.00 90.00 120.00
Space group P6_3/m (No. 176)
One atom of each set of equivalent atoms:
La  0.1171  0.7206  0.2500 [6 per cell]
Ta  0.3333  0.6667  0.7500 [2 per cell]
Cl  0.0684  0.4414  0.2500 [6 per cell]
Cl  0.1040  0.2487  0.7500 [6 per cell]
O  0.2025  0.6936  0.7500 [6 per cell]
O  0.3333  0.6667  0.2500 [2 per cell]

Main lines, in order of rising 2θ (5° ≤ 2θ ≤ 70°):
2θ/deg  Rel. int.  hkl
7.8  92  1 0 0
15.7  41  2 0 0
20.8  57  2 1 0
27.3  81  2 0 1
28.5  24  1 3 0
30.6  88  2 1 1
36.4  100  1 4 0
41.5  46  3 2 1
59.5  32  1 4 2
62.0  26  1 7 0

- What is the formula in the fourth record?
  Pm3Dy4Tl

Repeat the first record exactly.
Simulated X-ray powder pattern
Compound: NiRh5
Radiation: Cu Kα X-rays
Structure: a crystal structure in Alexandria, relaxed with PBE
No peak broadening, texture or thermal motion is included.

Structural model:
a b c (Å): 2.7029 2.7029 13.0779
angles (deg): 90.00 90.00 120.00
Space group P-3m1 (No. 164)
One atom of each set of equivalent atoms:
Ni  0.0000  0.0000  0.0000 [1 per cell]
Rh  0.0000  0.0000  0.5000 [1 per cell]
Rh  0.3333  0.6667  0.1586 [2 per cell]
Rh  0.3333  0.6667  0.6705 [2 per cell]

Main lines, in order of rising 2θ (5° ≤ 2θ ≤ 70°):
2θ/deg  Rel. int.  hkl
6.8  5  0 0 1
13.5  1  0 0 2
34.3  2  0 0 5
39.1  1  0 1 1
41.0  100  0 1 2
41.4  31  0 0 6
43.9  2  1 0 3
47.8  62  1 0 4
63.7  2  0 1 7
69.6  20  1 1 0

Copy entry 1 word for word.
Simulated X-ray powder pattern
Compound: NiRh5
Radiation: Cu Kα X-rays
Structure: a crystal structure in Alexandria, relaxed with PBE
No peak broadening, texture or thermal motion is included.

Structural model:
a b c (Å): 2.7029 2.7029 13.0779
angles (deg): 90.00 90.00 120.00
Space group P-3m1 (No. 164)
One atom of each set of equivalent atoms:
Ni  0.0000  0.0000  0.0000 [1 per cell]
Rh  0.0000  0.0000  0.5000 [1 per cell]
Rh  0.3333  0.6667  0.1586 [2 per cell]
Rh  0.3333  0.6667  0.6705 [2 per cell]

Main lines, in order of rising 2θ (5° ≤ 2θ ≤ 70°):
2θ/deg  Rel. int.  hkl
6.8  5  0 0 1
13.5  1  0 0 2
34.3  2  0 0 5
39.1  1  0 1 1
41.0  100  0 1 2
41.4  31  0 0 6
43.9  2  1 0 3
47.8  62  1 0 4
63.7  2  0 1 7
69.6  20  1 1 0